# Ac2SnN
Simulated X-ray diffraction stick pattern, Cu Kα. Input: the PBE geometry in Alexandria.
Kinematic intensities with the Lorentz-polarization factor, no thermal factor.

Top 10 peaks for 5 to 70 degrees two-theta, low angle first:
- (1 1 1), 2θ 21.8, I = 10.6
- (1 3 1), 2θ 28.0, I = 100.0
- (0 0 2), 2θ 28.6, I = 25.7
- (2 0 0), 2θ 31.0, I = 16.3
- (2 2 1), 2θ 36.4, I = 9.1
- (0 6 0), 2θ 37.2, I = 9.5
- (2 0 2), 2θ 42.7, I = 15.4
- (0 6 2), 2θ 47.6, I = 13.5
- (1 3 3), 2θ 50.3, I = 22.0
- (3 3 1), 2θ 53.3, I = 10.3

Structure:
```
data_Ac2SnN
_cell_length_a 5.7771
_cell_length_b 14.5036
_cell_length_c 6.2389
_cell_angle_alpha 90.00
_cell_angle_beta 90.00
_cell_angle_gamma 90.00
_space_group_name_H-M_alt 'C c c m'
_space_group_IT_number 66
_space_group_name_Hall '-C 2 2c'
loop_
_atom_site_label
_atom_site_type_symbol
_atom_site_fract_x
_atom_site_fract_y
_atom_site_fract_z
Ac1 Ac 0.2054 0.0998 0.0000
Sn1 Sn 0.2500 0.2500 0.5000
N1 N 0.0000 0.0000 0.2500
```